[1]
Calculated X-ray diffraction stick pattern of Pm2I2O7 for Cu Kα, from DFT lattice parameters and positions (GGA-PBE).

Principal peaks in the range 2θ from 10° to 90°, in order of rising 2θ:
5.808 Å, 2θ = 15.3°, rel. 29; 3.897 Å, 2θ = 22.8°, rel. 36; 3.640 Å, 2θ = 24.5°, rel. 100; 3.450 Å, 2θ = 25.8°, rel. 49; 2.942 Å, 2θ = 30.4°, rel. 29; 2.904 Å, 2θ = 30.8°, rel. 45; 2.804 Å, 2θ = 31.9°, rel. 20; 2.376 Å, 2θ = 37.9°, rel. 21; 1.988 Å, 2θ = 45.6°, rel. 28; 1.733 Å, 2θ = 52.8°, rel. 21

```
data_Pm2I2O7
_chemical_formula_sum 'Pm2 I2 O7'
_cell_length_a 5.971
_cell_length_b 5.971
_cell_length_c 6.034
_cell_angle_alpha 96.40
_cell_angle_beta 96.40
_cell_angle_gamma 100.95
_space_group_name_H-M_alt 'P 1'
_space_group_IT_number 1
loop_
_space_group_symop_operation_xyz
'x,y,z'
loop_
_atom_site_label
_atom_site_fract_x
_atom_site_fract_y
_atom_site_fract_z
Pm1 0.191 0.809 0.000
Pm2 0.809 0.191 0.000
I1 0.234 0.234 0.587
I2 0.766 0.766 0.413
O1 0.092 0.422 0.798
O2 0.110 0.110 0.215
O3 0.422 0.092 0.798
O4 0.500 0.500 0.500
O5 0.578 0.908 0.202
O6 0.890 0.890 0.785
O7 0.908 0.578 0.202
```

[2]
Calculated X-ray diffraction stick pattern of Pm5I2O12 for Cu Kα, from DFT lattice parameters and positions (GGA-PBE).

Principal peaks in the range 2θ from 10° to 90°, in order of rising 2θ:
3.450 Å, 2θ = 25.8°, rel. 92; 3.270 Å, 2θ = 27.3°, rel. 100; 3.068 Å, 2θ = 29.1°, rel. 24; 2.936 Å, 2θ = 30.4°, rel. 26; 2.886 Å, 2θ = 31.0°, rel. 25; 2.846 Å, 2θ = 31.4°, rel. 30; 2.783 Å, 2θ = 32.2°, rel. 75; 2.405 Å, 2θ = 37.4°, rel. 27; 1.898 Å, 2θ = 47.9°, rel. 39; 1.735 Å, 2θ = 52.8°, rel. 39

```
data_Pm5I2O12
_chemical_formula_sum 'Pm5 I2 O12'
_cell_length_a 7.185
_cell_length_b 7.185
_cell_length_c 7.598
_cell_angle_alpha 105.45
_cell_angle_beta 105.45
_cell_angle_gamma 53.09
_space_group_name_H-M_alt 'P 1'
_space_group_IT_number 1
loop_
_space_group_symop_operation_xyz
'x,y,z'
loop_
_atom_site_label
_atom_site_fract_x
_atom_site_fract_y
_atom_site_fract_z
Pm1 0.000 0.000 0.000
Pm2 0.298 0.298 0.136
Pm3 0.305 0.305 0.673
Pm4 0.695 0.695 0.327
Pm5 0.702 0.702 0.864
I1 0.247 0.753 0.500
I2 0.753 0.247 0.500
O1 0.000 0.000 0.313
O2 0.000 0.000 0.687
O3 0.095 0.598 0.926
O4 0.103 0.558 0.413
O5 0.402 0.905 0.074
O6 0.442 0.897 0.587
O7 0.499 0.499 0.696
O8 0.501 0.501 0.304
O9 0.558 0.103 0.413
O10 0.598 0.095 0.926
O11 0.897 0.442 0.587
O12 0.905 0.402 0.074
```

[3]
Calculated X-ray diffraction stick pattern of PmSIO4 for Cu Kα, from DFT lattice parameters and positions (GGA-PBE).

Principal peaks in the range 2θ from 10° to 90°, in order of rising 2θ:
6.623 Å, 2θ = 13.4°, rel. 34; 5.803 Å, 2θ = 15.3°, rel. 27; 3.512 Å, 2θ = 25.4°, rel. 100; 3.312 Å, 2θ = 26.9°, rel. 42; 3.084 Å, 2θ = 29.0°, rel. 30; 3.033 Å, 2θ = 29.4°, rel. 58; 2.735 Å, 2θ = 32.7°, rel. 44; 2.606 Å, 2θ = 34.4°, rel. 36; 2.517 Å, 2θ = 35.7°, rel. 46; 2.410 Å, 2θ = 37.3°, rel. 30

```
data_PmSIO4
_chemical_formula_sum 'Pm2 S2 I2 O8'
_cell_length_a 6.338
_cell_length_b 6.338
_cell_length_c 6.788
_cell_angle_alpha 100.50
_cell_angle_beta 100.50
_cell_angle_gamma 67.31
_space_group_name_H-M_alt 'P 1'
_space_group_IT_number 1
loop_
_space_group_symop_operation_xyz
'x,y,z'
loop_
_atom_site_label
_atom_site_fract_x
_atom_site_fract_y
_atom_site_fract_z
Pm1 0.249 0.249 0.343
Pm2 0.751 0.751 0.657
S1 0.133 0.133 0.757
S2 0.867 0.867 0.243
I1 0.468 0.468 0.744
I2 0.532 0.532 0.256
O1 0.008 0.008 0.272
O2 0.011 0.346 0.648
O3 0.197 0.197 0.973
O4 0.346 0.011 0.648
O5 0.654 0.989 0.352
O6 0.803 0.803 0.027
O7 0.989 0.654 0.352
O8 0.992 0.992 0.728
```